Calculated powder XRD pattern of Tm7Ge2Te2 for Cu Kα, 1.54184 Å, from a cell relaxed with PBE.

Largest 8 diffraction maxima, in order of rising 2θ, 10 to 90 degrees two-theta:
2θ/deg, I_rel
13.44, 311
27.07, 317
28.38, 366
30.59, 630
32.14, 1000
32.33, 518
33.54, 362
43.10, 316

```
Tm7Ge2Te2
1.0
4.138 -5.845 0.000
4.138 5.845 0.000
-2.014 0.000 7.323
Tm Ge Te
7 2 2
direct
0.000 0.000 0.000
0.076 0.540 0.798
0.417 0.417 0.197
0.460 0.924 0.202
0.540 0.076 0.798
0.583 0.583 0.803
0.924 0.460 0.202
0.241 0.241 0.808
0.759 0.759 0.192
0.312 0.688 0.500
0.688 0.312 0.500
```

Calculated powder XRD pattern of RbCl3F12 for Cu Kα, 1.54184 Å, from a cell relaxed with PBE.

Largest 8 diffraction maxima, in order of rising 2θ, 10 to 90 degrees two-theta:
2θ/deg, I_rel
13.84, 263
21.49, 278
22.41, 1000
27.12, 151
30.70, 578
35.99, 380
40.32, 224
43.26, 181

```
RbCl3F12
1.0
5.421 3.130 5.825
-5.421 3.130 5.825
0.000 -6.259 5.825
Rb Cl F
2 6 24
direct
0.000 0.000 0.000
0.500 0.500 0.500
0.020 0.393 0.668
0.168 0.893 0.520
0.393 0.668 0.020
0.520 0.168 0.893
0.668 0.020 0.393
0.893 0.520 0.168
0.073 0.387 0.126
0.126 0.073 0.387
0.158 0.451 0.493
0.163 0.213 0.721
0.213 0.721 0.163
0.221 0.713 0.663
0.342 0.856 0.891
0.356 0.842 0.391
0.387 0.126 0.073
0.391 0.356 0.842
0.451 0.493 0.158
0.493 0.158 0.451
0.573 0.626 0.887
0.626 0.887 0.573
0.658 0.993 0.951
0.663 0.221 0.713
0.713 0.663 0.221
0.721 0.163 0.213
0.842 0.391 0.356
0.856 0.891 0.342
0.887 0.573 0.626
0.891 0.342 0.856
0.951 0.658 0.993
0.993 0.951 0.658
```

Calculated powder XRD pattern of Ba2PrBr2N2 for Cu Kα, 1.54184 Å, from a cell relaxed with PBE.

Largest 8 diffraction maxima, in order of rising 2θ, 10 to 90 degrees two-theta:
2θ/deg, I_rel
10.41, 185
26.59, 851
32.40, 1000
37.95, 400
50.74, 556
54.76, 134
61.88, 160
77.89, 159

```
Ba2PrBr2N2
1.0
4.741 0.000 0.000
0.000 4.741 0.000
0.000 0.000 17.001
Ba Pr Br N
4 2 4 4
direct
0.000 0.000 0.108
0.000 0.000 0.892
0.500 0.500 0.392
0.500 0.500 0.608
0.000 0.000 0.500
0.500 0.500 0.000
0.000 0.000 0.318
0.000 0.000 0.682
0.500 0.500 0.182
0.500 0.500 0.818
0.000 0.500 0.000
0.000 0.500 0.500
0.500 0.000 0.000
0.500 0.000 0.500
```

Calculated powder XRD pattern of Er6CuBi3 for Cu Kα, 1.54184 Å, from a cell relaxed with PBE.

Largest 8 diffraction maxima, in order of rising 2θ, 10 to 90 degrees two-theta:
2θ/deg, I_rel
28.28, 251
30.51, 170
31.67, 266
32.38, 1000
33.10, 205
35.14, 312
36.91, 211
62.07, 228

```
Er6CuBi3
1.0
5.533 -8.120 0.000
5.533 8.120 0.000
0.000 0.000 6.571
Er Cu Bi
12 2 6
direct
0.015 0.985 0.500
0.103 0.574 0.077
0.227 0.369 0.727
0.239 0.761 0.576
0.369 0.227 0.227
0.426 0.897 0.077
0.574 0.103 0.577
0.631 0.773 0.727
0.761 0.239 0.076
0.773 0.631 0.227
0.897 0.426 0.577
0.985 0.015 0.000
0.142 0.858 0.212
0.858 0.142 0.712
0.080 0.287 0.294
0.287 0.080 0.794
0.431 0.569 0.080
0.569 0.431 0.580
0.713 0.920 0.294
0.920 0.713 0.794
```